Record 1
Diffraction record for Tm2MgTiO6. The powder diffractogram is simulated, not measured: it uses a DFT-relaxed cell (GGA-PBE, the Materials Project) and a wavelength of 1.5418 Å.

Most intense lines, 2θ from 5° to 70°, sorted by position:
(0 0 2), 23.23 deg, I = 100; (1 1 0), 25.92 deg, I = 19; (0 2 0), 32.06 deg, I = 22; (1 1 1), 32.93 deg, I = 66; (1 1 -3), 33.24 deg, I = 66; (2 0 -2), 34.13 deg, I = 54; (0 0 4), 47.49 deg, I = 39; (1 3 -2), 53.66 deg, I = 25; (2 0 -6), 60.12 deg, I = 27; (3 1 -5), 60.69 deg, I = 19

Structural model:
a = 5.2600 Å, b = 5.5838 Å, c = 9.2382 Å
α = 90.00°, β = 123.99°, γ = 90.00°
Space group P2_1/c (No. 14)
Asymmetric unit:
Tm1 0.2242 0.0678 0.2445 (multiplicity 4)
Mg1 0.0000 0.0000 0.5000 (multiplicity 2)
Ti1 0.5000 0.0000 0.0000 (multiplicity 2)
O1 0.1404 0.1864 0.9436 (multiplicity 4)
O2 0.2462 0.7034 0.9310 (multiplicity 4)
O3 0.3809 0.0515 0.7577 (multiplicity 4)

---

Record 2
Diffraction record for K2SnPCO7. The powder diffractogram is simulated, not measured: it uses a DFT-relaxed cell (GGA-PBE, the Materials Project) and a wavelength of 1.5418 Å.

Most intense lines, 2θ from 5° to 70°, sorted by position:
(0 0 1), 8.93 deg, I = 100; (0 1 1), 15.41 deg, I = 42; (1 1 0), 19.78 deg, I = 37; (1 0 -2), 22.87 deg, I = 23; (1 0 2), 24.30 deg, I = 32; (0 2 0), 25.22 deg, I = 19; (2 0 0), 30.72 deg, I = 63; (1 2 1), 31.25 deg, I = 26; (1 0 3), 31.97 deg, I = 18; (0 2 4), 44.69 deg, I = 17

Structural model:
a = 5.8261 Å, b = 7.0632 Å, c = 9.9213 Å
α = 90.00°, β = 93.47°, γ = 90.00°
Space group P2_1/m (No. 11)
Asymmetric unit:
K1 0.2469 0.0144 0.2285 (multiplicity 4)
Sn1 0.2189 0.2500 0.6316 (multiplicity 2)
P1 0.2833 0.7500 0.5756 (multiplicity 2)
C1 0.2746 0.2500 0.9044 (multiplicity 2)
O1 0.0734 0.2500 0.8333 (multiplicity 2)
O2 0.1586 0.7500 0.4309 (multiplicity 2)
O3 0.2126 0.5716 0.6568 (multiplicity 4)
O4 0.2898 0.2500 0.0307 (multiplicity 2)
O5 0.4512 0.2500 0.4391 (multiplicity 2)
O6 0.4549 0.2500 0.8292 (multiplicity 2)

---

Record 3
Diffraction record for DyB2C2. The powder diffractogram is simulated, not measured: it uses a DFT-relaxed cell (GGA-PBE, the Materials Project) and a wavelength of 1.5418 Å.

Most intense lines, 2θ from 5° to 70°, sorted by position:
(1 0 0), 23.44 deg, I = 93; (0 0 2), 24.71 deg, I = 26; (1 1 0), 33.39 deg, I = 39; (1 0 2), 34.32 deg, I = 100; (1 1 2), 41.98 deg, I = 56; (2 0 0), 47.94 deg, I = 18; (2 1 0), 54.02 deg, I = 29; (2 0 2), 54.66 deg, I = 22; (1 0 4), 56.55 deg, I = 18; (2 1 2), 60.27 deg, I = 27

Structural model:
a = 3.7954 Å, b = 3.7954 Å, c = 7.2057 Å
α = 90.00°, β = 90.00°, γ = 90.00°
Space group P4_2/mmc (No. 131)
Asymmetric unit:
Dy1 0.0000 0.0000 0.2500 (multiplicity 2)
B1 0.2150 0.5000 0.0000 (multiplicity 4)
C1 0.1874 0.5000 0.5000 (multiplicity 4)

---

Record 4
Diffraction record for DyGa6Co6. The powder diffractogram is simulated, not measured: it uses a DFT-relaxed cell (GGA-PBE, the Materials Project) and a wavelength of 1.5418 Å.

Most intense lines, 2θ from 5° to 70°, sorted by position:
(2 0 0), 35.59 deg, I = 37; (1 0 3), 35.97 deg, I = 68; (1 3 0), 37.49 deg, I = 31; (2 0 2), 41.47 deg, I = 58; (0 0 4), 41.92 deg, I = 33; (2 2 0), 42.08 deg, I = 55; (1 2 3), 42.42 deg, I = 100; (1 3 2), 43.16 deg, I = 55; (0 4 0), 44.30 deg, I = 46; (2 2 2), 47.30 deg, I = 52

Structural model:
a = 5.0456 Å, b = 8.1793 Å, c = 8.6198 Å
α = 90.00°, β = 90.00°, γ = 90.00°
Space group Immm (No. 71)
Asymmetric unit:
Dy1 0.0000 0.0000 0.0000 (multiplicity 2)
Ga1 0.0000 0.0000 0.3449 (multiplicity 4)
Ga2 0.0000 0.3407 0.0000 (multiplicity 4)
Ga3 0.0000 0.5000 0.3128 (multiplicity 4)
Co1 0.0000 0.2613 0.5000 (multiplicity 4)
Co2 0.2500 0.2500 0.2500 (multiplicity 8)

---

Record 5
Diffraction record for Ba2Hg. The powder diffractogram is simulated, not measured: it uses a DFT-relaxed cell (GGA-PBE, the Materials Project) and a wavelength of 1.5418 Å.

Most intense lines, 2θ from 5° to 70°, sorted by position:
(0 0 2), 11.60 deg, I = 34; (1 0 3), 27.27 deg, I = 100; (1 1 0), 29.60 deg, I = 53; (1 1 2), 31.89 deg, I = 14; (1 0 5), 36.18 deg, I = 36; (2 0 0), 42.36 deg, I = 20; (2 1 3), 51.11 deg, I = 36; (2 1 5), 56.90 deg, I = 20; (1 1 8), 57.12 deg, I = 16; (2 0 8), 65.64 deg, I = 11

Structural model:
a = 4.2678 Å, b = 4.2678 Å, c = 15.2627 Å
α = 90.00°, β = 90.00°, γ = 90.00°
Space group I4/mmm (No. 139)
Asymmetric unit:
Ba1 0.0000 0.0000 0.1305 (multiplicity 4)
Hg1 0.0000 0.0000 0.5000 (multiplicity 2)

---

Record 6
Diffraction record for CdPd3. The powder diffractogram is simulated, not measured: it uses a DFT-relaxed cell (GGA-PBE, the Materials Project) and a wavelength of 1.5418 Å.

Most intense lines, 2θ from 5° to 70°, sorted by position:
(1 1 2), 38.55 deg, I = 100; (2 0 0), 44.68 deg, I = 33; (0 0 4), 45.08 deg, I = 16; (2 2 0), 65.04 deg, I = 10; (2 0 4), 65.35 deg, I = 20

Structural model:
a = 4.0560 Å, b = 4.0560 Å, c = 8.0449 Å
α = 90.00°, β = 90.00°, γ = 90.00°
Space group I4/mmm (No. 139)
Asymmetric unit:
Cd1 0.0000 0.0000 0.0000 (multiplicity 2)
Pd1 0.0000 0.0000 0.5000 (multiplicity 2)
Pd2 0.0000 0.5000 0.2500 (multiplicity 4)

---

Record 7
Diffraction record for Pb4Se3S. The powder diffractogram is simulated, not measured: it uses a DFT-relaxed cell (GGA-PBE, the Materials Project) and a wavelength of 1.5418 Å.

Most intense lines, 2θ from 5° to 70°, sorted by position:
(1 0 2), 24.99 deg, I = 46; (1 1 0), 28.93 deg, I = 100; (2 0 0), 41.38 deg, I = 77; (1 0 6), 48.87 deg, I = 8; (2 1 2), 48.98 deg, I = 17; (2 0 4), 51.28 deg, I = 28; (2 2 0), 60.01 deg, I = 9; (3 0 2), 65.97 deg, I = 11; (1 1 8), 67.81 deg, I = 12; (3 1 0), 67.97 deg, I = 24

Structural model:
a = 4.3601 Å, b = 4.3601 Å, c = 12.3681 Å
α = 90.00°, β = 90.00°, γ = 90.00°
Space group P4/mmm (No. 123)
Asymmetric unit:
Pb1 0.0000 0.0000 0.0000 (multiplicity 1)
Pb2 0.0000 0.0000 0.5000 (multiplicity 1)
Pb3 0.5000 0.5000 0.2464 (multiplicity 2)
Se1 0.0000 0.0000 0.2496 (multiplicity 2)
Se2 0.5000 0.5000 0.5000 (multiplicity 1)
S1 0.5000 0.5000 0.0000 (multiplicity 1)

---

Record 8
Diffraction record for CuNiPd. The powder diffractogram is simulated, not measured: it uses a DFT-relaxed cell (GGA-PBE, the Materials Project) and a wavelength of 1.5418 Å.

Most intense lines, 2θ from 5° to 70°, sorted by position:
(0 0 1), 13.94 deg, I = 9; (0 0 2), 28.09 deg, I = 6; (1 0 0), 39.12 deg, I = 3; (1 0 1), 41.72 deg, I = 100; (0 0 3), 42.70 deg, I = 29; (0 1 2), 48.85 deg, I = 60; (1 0 3), 59.28 deg, I = 3

Structural model:
a = 2.6592 Å, b = 2.6592 Å, c = 6.3528 Å
α = 90.00°, β = 90.00°, γ = 120.00°
Space group P3m1 (No. 156)
Asymmetric unit:
Cu1 0.0000 0.0000 0.0000 (multiplicity 1)
Ni1 0.6667 0.3333 0.3095 (multiplicity 1)
Pd1 0.3333 0.6667 0.6523 (multiplicity 1)

---

Record 9
Diffraction record for SiO2. The powder diffractogram is simulated, not measured: it uses a DFT-relaxed cell (GGA-PBE, the Materials Project) and a wavelength of 1.5418 Å.

Most intense lines, 2θ from 5° to 70°, sorted by position:
(1 1 0), 10.79 deg, I = 100; (2 2 0), 21.68 deg, I = 18; (2 1 1), 25.03 deg, I = 25; (1 3 1), 29.46 deg, I = 17; (3 3 0), 32.77 deg, I = 5; (2 4 1), 38.53 deg, I = 3; (5 0 2), 50.08 deg, I = 3; (4 2 2), 51.37 deg, I = 3; (0 7 2), 60.00 deg, I = 5; (2 6 2), 61.14 deg, I = 3

Structural model:
a = 16.3978 Å, b = 16.3978 Å, c = 4.7505 Å
α = 90.00°, β = 90.00°, γ = 120.00°
Space group R-3c (No. 167, hexagonal axes)
Asymmetric unit:
Si1 0.0000 0.4326 0.2500 (multiplicity 18)
O1 0.0000 0.2601 0.7500 (multiplicity 18)
O2 0.0000 0.5000 0.0000 (multiplicity 18)

---

Record 10
Diffraction record for Mg14BSbO16. The powder diffractogram is simulated, not measured: it uses a DFT-relaxed cell (GGA-PBE, the Materials Project) and a wavelength of 1.5418 Å.

Most intense lines, 2θ from 5° to 70°, sorted by position:
(0 1 0), 10.19 deg, I = 35; (0 1 1), 14.42 deg, I = 26; (0 1 2), 22.89 deg, I = 20; (1 1 1), 25.17 deg, I = 20; (0 3 0), 30.92 deg, I = 24; (1 2 2), 35.84 deg, I = 28; (0 0 4), 41.45 deg, I = 51; (2 0 0), 41.72 deg, I = 100; (2 0 4), 60.27 deg, I = 57; (2 4 0), 60.47 deg, I = 28

Structural model:
a = 4.3287 Å, b = 8.6640 Å, c = 8.7136 Å
α = 90.00°, β = 90.00°, γ = 90.00°
Space group Pmmm (No. 47)
Asymmetric unit:
Mg1 0.0000 0.0000 0.0000 (multiplicity 1)
Mg2 0.0000 0.2382 0.2466 (multiplicity 4)
Mg3 0.0000 0.5000 0.0000 (multiplicity 1)
Mg4 0.5000 0.0000 0.2519 (multiplicity 2)
Mg5 0.5000 0.2312 0.5000 (multiplicity 2)
Mg6 0.5000 0.2459 0.0000 (multiplicity 2)
Mg7 0.5000 0.5000 0.2381 (multiplicity 2)
B1 0.0000 0.0000 0.5000 (multiplicity 1)
Sb1 0.0000 0.5000 0.5000 (multiplicity 1)
O1 0.0000 0.0000 0.2311 (multiplicity 2)
O2 0.0000 0.2378 0.5000 (multiplicity 2)
O3 0.0000 0.2519 0.0000 (multiplicity 2)
O4 0.0000 0.5000 0.2362 (multiplicity 2)
O5 0.5000 0.0000 0.0000 (multiplicity 1)
O6 0.5000 0.0000 0.5000 (multiplicity 1)
O7 0.5000 0.2506 0.2513 (multiplicity 4)
O8 0.5000 0.5000 0.0000 (multiplicity 1)
O9 0.5000 0.5000 0.5000 (multiplicity 1)

---

Record 11
Diffraction record for Ni18Bi3AsS16. The powder diffractogram is simulated, not measured: it uses a DFT-relaxed cell (GGA-PBE, the Materials Project) and a wavelength of 1.5418 Å.

Most intense lines, 2θ from 5° to 70°, sorted by position:
(1 1 2), 20.47 deg, I = 54; (2 2 0), 24.51 deg, I = 57; (3 1 0), 27.46 deg, I = 67; (3 1 2), 32.14 deg, I = 100; (2 0 4), 37.57 deg, I = 78; (4 2 0), 39.23 deg, I = 66; (4 0 4), 48.90 deg, I = 68; (4 4 0), 50.25 deg, I = 35; (3 3 4), 50.59 deg, I = 59; (6 0 0), 53.53 deg, I = 40

Structural model:
a = 10.2707 Å, b = 10.2707 Å, c = 10.8243 Å
α = 90.00°, β = 90.00°, γ = 90.00°
Space group I4/mmm (No. 139)
Asymmetric unit:
Ni1 0.0000 0.5000 0.0000 (multiplicity 4)
Ni2 0.1431 0.1431 0.1212 (multiplicity 16)
Ni3 0.1715 0.1715 0.3738 (multiplicity 16)
Bi1 0.0000 0.0000 0.5000 (multiplicity 2)
Bi2 0.0000 0.5000 0.2500 (multiplicity 4)
As1 0.0000 0.0000 0.0000 (multiplicity 2)
S1 0.0000 0.2273 0.2595 (multiplicity 16)
S2 0.1523 0.3365 0.0000 (multiplicity 16)

---

Record 12
Diffraction record for La3O2F5. The powder diffractogram is simulated, not measured: it uses a DFT-relaxed cell (GGA-PBE, the Materials Project) and a wavelength of 1.5418 Å.

Most intense lines, 2θ from 5° to 70°, sorted by position:
(0 1 3), 26.08 deg, I = 48; (1 0 3), 26.27 deg, I = 100; (1 0 -3), 26.42 deg, I = 51; (1 1 0), 30.03 deg, I = 24; (0 0 6), 30.46 deg, I = 23; (1 -1 0), 30.75 deg, I = 24; (1 1 6), 43.11 deg, I = 22; (0 2 0), 43.26 deg, I = 20; (2 0 0), 43.81 deg, I = 63; (1 0 -9), 51.76 deg, I = 20

Structural model:
a = 4.1379 Å, b = 4.1836 Å, c = 17.6081 Å
α = 89.63°, β = 89.70°, γ = 88.67°
Space group P1 (No. 1)
Asymmetric unit:
La1 0.0000 0.0000 0.0000 (multiplicity 1)
La2 0.0037 0.1010 0.6537 (multiplicity 1)
La3 0.4961 0.4990 0.8110 (multiplicity 1)
La4 0.5042 0.5225 0.1376 (multiplicity 1)
La5 0.5092 0.5082 0.4733 (multiplicity 1)
La6 0.9735 0.9959 0.3151 (multiplicity 1)
O1 0.0265 0.5202 0.4056 (multiplicity 1)
O2 0.4984 0.0025 0.0631 (multiplicity 1)
O3 0.9989 0.4889 0.0640 (multiplicity 1)
O4 0.9991 0.4887 0.7443 (multiplicity 1)
F1 0.0073 0.5161 0.5593 (multiplicity 1)
F2 0.4412 0.0647 0.2399 (multiplicity 1)
F3 0.4970 0.9974 0.8905 (multiplicity 1)
F4 0.4981 0.0102 0.3986 (multiplicity 1)
F5 0.4984 0.9887 0.7377 (multiplicity 1)
F6 0.5029 0.9949 0.5507 (multiplicity 1)
F7 0.5042 0.4400 0.6457 (multiplicity 1)
F8 0.6825 0.5246 0.2857 (multiplicity 1)
F9 0.9723 0.8511 0.1829 (multiplicity 1)
F10 0.9970 0.4991 0.9012 (multiplicity 1)

---

Which formula does entry 4 have? DyGa6Co6